Calculated X-ray diffraction stick pattern of Ac2UFeO6 for λ = 1.5418 Å (Cu Kα), from DFT lattice parameters and positions (GGA+U).
Neutral-atom scattering factors, no anomalous dispersion.

Crystal structure
Cell lengths 5.799, 5.799, 4.493 Å; angles 90.00, 90.00, 90.00 degrees
Space group P4mm (No. 99)
Asymmetric unit:
Ac1 0.000 0.500 0.000 [2 per cell]
U1 0.000 0.000 0.544 [1 per cell]
Fe1 0.500 0.500 0.611 [1 per cell]
O1 0.000 0.000 0.052 [1 per cell]
O2 0.257 0.257 0.623 [4 per cell]
O3 0.500 0.500 0.091 [1 per cell]

Main lines, low angle first (15 to 90 degrees two-theta):
(1 1 1), d 3.029, intensity 100; (2 0 0), d 2.899, intensity 46; (0 0 2), d 2.246, intensity 18; (2 2 0), d 2.050, intensity 25; (2 0 2), d 1.776, intensity 23; (3 1 1), d 1.698, intensity 42